# 1
# CsRb2MnO4
Calculated powder diffractogram, a wavelength of 1.5418 Å. Input: a crystal structure in Alexandria, relaxed with PBE+U.
Lines closer than 0.1° are merged.

Structural model:
```
CsRb2MnO4
1.0
8.3817 0.0000 0.0000
0.0000 6.9890 0.0000
0.0000 0.0000 6.5541
Cs Rb Mn O
2 4 2 8
direct
0.0000 0.0984 0.0000
0.5000 0.9016 0.5000
0.2331 0.3455 0.5096
0.2669 0.6545 0.0096
0.7331 0.6545 0.0096
0.7669 0.3455 0.5096
0.0000 0.8124 0.5214
0.5000 0.1876 0.0214
0.0000 0.0596 0.5230
0.0000 0.7281 0.7703
0.1692 0.7281 0.4011
0.3308 0.2719 0.9011
0.5000 0.2719 0.2703
0.5000 0.9404 0.0230
0.6692 0.2719 0.9011
0.8308 0.7281 0.4011
```

Largest 10 diffraction maxima, sorted by position, 2θ from 10° to 90°:
| 2theta | intensity |
| --- | --- |
| 21.4 | 20.6 |
| 24.8 | 66.3 |
| 27.2 | 61.4 |
| 28.3 | 100.0 |
| 29.0 | 71.9 |
| 37.1 | 45.1 |
| 48.8 | 25.4 |
| 49.2 | 25.0 |
| 52.8 | 25.3 |
| 52.9 | 17.5 |


# 2
# CsRbMnO4
Calculated powder diffractogram, a wavelength of 1.5418 Å. Input: a crystal structure in Alexandria, relaxed with PBE+U.
Lines closer than 0.1° are merged.

Structural model:
```
CsRbMnO4
1.0
0.0000 4.9304 4.9304
4.9304 0.0000 4.9304
4.9304 4.9304 0.0000
Cs Rb Mn O
1 1 1 4
direct
0.0000 0.0000 0.0000
0.7500 0.7500 0.7500
0.5000 0.5000 0.5000
0.2073 0.5976 0.5976
0.5976 0.2073 0.5976
0.5976 0.5976 0.2073
0.5976 0.5976 0.5976
```

Largest 10 diffraction maxima, sorted by position, 2θ from 10° to 90°:
| 2theta | intensity |
| --- | --- |
| 15.6 | 30.2 |
| 18.0 | 23.1 |
| 25.6 | 100.0 |
| 30.1 | 19.0 |
| 36.4 | 12.0 |
| 39.8 | 14.9 |
| 45.0 | 38.3 |
| 52.5 | 15.7 |
| 59.3 | 15.1 |
| 71.6 | 20.9 |


# 3
# Cs2MnRuO6
Calculated powder diffractogram, a wavelength of 1.5418 Å. Input: a crystal structure in Alexandria, relaxed with PBE+U.
Lines closer than 0.1° are merged.

Structural model:
```
Cs2MnRuO6
1.0
6.5030 0.0000 0.0000
-3.2515 5.6318 0.0000
0.0000 0.0000 5.0615
Cs Mn Ru O
2 1 1 6
direct
0.3333 0.6667 0.2409
0.6667 0.3333 0.7591
0.0000 0.0000 0.0000
0.0000 0.0000 0.5000
0.1316 0.2632 0.7507
0.1316 0.8684 0.7507
0.2632 0.1316 0.2493
0.7368 0.8684 0.7507
0.8684 0.1316 0.2493
0.8684 0.7368 0.2493
```

Largest 10 diffraction maxima, sorted by position, 2θ from 10° to 90°:
| 2theta | intensity |
| --- | --- |
| 15.7 | 15.3 |
| 23.6 | 83.5 |
| 27.4 | 100.0 |
| 36.5 | 52.5 |
| 39.0 | 29.7 |
| 46.3 | 21.1 |
| 48.4 | 26.8 |
| 48.5 | 18.2 |
| 56.5 | 31.2 |
| 56.6 | 16.8 |


# 4
# Cs2MnSbO4
Calculated powder diffractogram, a wavelength of 1.5418 Å. Input: a crystal structure in Alexandria, relaxed with PBE+U.
Lines closer than 0.1° are merged.

Structural model:
```
Cs2MnSbO4
1.0
5.5060 0.0000 0.0000
-2.6170 5.5159 0.0000
-0.4699 -2.6193 6.0695
Cs Mn Sb O
2 1 1 4
direct
0.0000 0.0000 0.0000
0.2402 0.4449 0.7047
0.7445 0.4805 0.1887
0.4855 0.9181 0.4163
0.0853 0.8158 0.3800
0.4410 0.5868 0.1953
0.6016 0.1564 0.2575
0.7653 0.4142 0.9085
```

Largest 10 diffraction maxima, sorted by position, 2θ from 10° to 90°:
| 2theta | intensity |
| --- | --- |
| 25.0 | 100.0 |
| 26.3 | 94.0 |
| 27.0 | 22.6 |
| 27.6 | 84.8 |
| 29.0 | 69.4 |
| 30.0 | 63.8 |
| 32.6 | 64.4 |
| 35.4 | 38.7 |
| 40.2 | 23.0 |
| 44.8 | 27.6 |


# 5
# Cs3MnTe2O8
Calculated powder diffractogram, a wavelength of 1.5418 Å. Input: a crystal structure in Alexandria, relaxed with PBE+U.
Lines closer than 0.1° are merged.

Structural model:
```
Cs3MnTe2O8
1.0
6.1559 0.0000 0.0000
-3.0780 5.3312 0.0000
0.0000 0.0000 8.4050
Cs Mn Te O
3 1 2 8
direct
0.0000 0.0000 0.0000
0.3333 0.6667 0.7961
0.6667 0.3333 0.2039
0.0000 0.0000 0.5000
0.3333 0.6667 0.3551
0.6667 0.3333 0.6449
0.1450 0.2900 0.3534
0.1450 0.8550 0.3534
0.2900 0.1450 0.6466
0.3333 0.6667 0.1333
0.6667 0.3333 0.8667
0.7100 0.8550 0.3534
0.8550 0.1450 0.6466
0.8550 0.7100 0.6466
```

Largest 10 diffraction maxima, sorted by position, 2θ from 10° to 90°:
| 2theta | intensity |
| --- | --- |
| 27.0 | 100.0 |
| 29.0 | 99.4 |
| 36.2 | 18.6 |
| 40.1 | 28.0 |
| 46.5 | 16.5 |
| 50.2 | 39.1 |
| 51.4 | 19.1 |
| 60.1 | 15.4 |
| 64.0 | 15.2 |
| 67.1 | 14.5 |


# 6
# Cs2MnTlO4
Calculated powder diffractogram, a wavelength of 1.5418 Å. Input: a crystal structure in Alexandria, relaxed with PBE+U.
Lines closer than 0.1° are merged.

Structural model:
```
Cs2MnTlO4
1.0
6.2646 0.0000 0.0000
0.0000 8.8022 0.0000
0.0000 0.0000 6.8001
Cs Mn Tl O
4 2 2 8
direct
0.2500 0.0093 0.2428
0.2500 0.4907 0.2428
0.7500 0.5093 0.7572
0.7500 0.9907 0.7572
0.2500 0.7500 0.6696
0.7500 0.2500 0.3304
0.2500 0.2500 0.7307
0.7500 0.7500 0.2693
0.0247 0.7500 0.5171
0.2500 0.5876 0.8075
0.2500 0.9124 0.8075
0.4753 0.7500 0.5171
0.5247 0.2500 0.4829
0.7500 0.0876 0.1925
0.7500 0.4124 0.1925
0.9753 0.2500 0.4829
```

Largest 10 diffraction maxima, sorted by position, 2θ from 10° to 90°:
| 2theta | intensity |
| --- | --- |
| 17.4 | 10.8 |
| 26.2 | 27.7 |
| 28.0 | 100.0 |
| 28.5 | 26.7 |
| 39.1 | 24.4 |
| 41.0 | 10.1 |
| 47.4 | 18.7 |
| 50.2 | 19.9 |
| 50.7 | 10.5 |
| 58.0 | 12.8 |


# 7
# CsUMnO6
Calculated powder diffractogram, a wavelength of 1.5418 Å. Input: a crystal structure in Alexandria, relaxed with PBE+U.
Lines closer than 0.1° are merged.

Structural model:
```
CsUMnO6
1.0
5.3854 0.0000 0.0000
-2.6927 4.6639 0.0000
0.0000 0.0000 6.7656
Cs U Mn O
1 1 1 6
direct
0.0000 0.0000 0.0000
0.3333 0.6667 0.5000
0.6667 0.3333 0.5000
0.3919 0.0189 0.6594
0.3919 0.3730 0.3406
0.6270 0.0189 0.3406
0.6270 0.6081 0.6594
0.9811 0.3730 0.6594
0.9811 0.6081 0.3406
```

Largest 10 diffraction maxima, sorted by position, 2θ from 10° to 90°:
| 2theta | intensity |
| --- | --- |
| 13.1 | 27.9 |
| 19.0 | 15.3 |
| 23.2 | 100.0 |
| 26.3 | 16.7 |
| 33.3 | 27.2 |
| 40.9 | 19.8 |
| 42.9 | 37.9 |
| 44.6 | 16.1 |
| 53.7 | 20.5 |
| 65.1 | 11.2 |


# 8
# Cs2UMnO6
Calculated powder diffractogram, a wavelength of 1.5418 Å. Input: a crystal structure in Alexandria, relaxed with PBE+U.
Lines closer than 0.1° are merged.

Structural model:
```
Cs2UMnO6
1.0
-2.8142 2.8142 5.7778
2.8142 -2.8142 5.7778
2.8142 2.8142 -5.7778
Cs U Mn O
2 1 1 6
direct
0.0000 0.5000 0.5000
0.5000 0.0000 0.5000
0.2545 0.2545 0.0000
0.7344 0.7344 0.0000
0.0070 0.0070 0.4831
0.0070 0.5239 0.0000
0.0857 0.0857 0.0000
0.5239 0.0070 0.0000
0.5239 0.5239 0.5169
0.5825 0.5825 0.0000
```

Largest 10 diffraction maxima, sorted by position, 2θ from 10° to 90°:
| 2theta | intensity |
| --- | --- |
| 17.5 | 27.0 |
| 27.2 | 100.0 |
| 31.0 | 22.4 |
| 31.8 | 31.4 |
| 45.0 | 20.0 |
| 45.6 | 17.8 |
| 52.8 | 18.0 |
| 53.9 | 34.3 |
| 56.1 | 15.9 |
| 72.3 | 14.2 |


# 9
# Cs2UMn2O6
Calculated powder diffractogram, a wavelength of 1.5418 Å. Input: a crystal structure in Alexandria, relaxed with PBE+U.
Lines closer than 0.1° are merged.

Structural model:
```
Cs2UMn2O6
1.0
3.1626 1.8259 6.3398
-3.1626 1.8259 6.3398
0.0000 -3.6519 6.3398
Cs U Mn O
2 1 2 6
direct
0.2094 0.2094 0.2094
0.7906 0.7906 0.7906
0.0000 0.0000 0.0000
0.3982 0.3982 0.3982
0.6018 0.6018 0.6018
0.2205 0.2205 0.7586
0.2205 0.7586 0.2205
0.2414 0.7795 0.7795
0.7586 0.2205 0.2205
0.7795 0.2414 0.7795
0.7795 0.7795 0.2414
```

Largest 10 diffraction maxima, sorted by position, 2θ from 10° to 90°:
| 2theta | intensity |
| --- | --- |
| 16.8 | 44.2 |
| 24.8 | 22.4 |
| 28.2 | 93.3 |
| 28.6 | 100.0 |
| 40.6 | 31.7 |
| 49.9 | 19.1 |
| 50.2 | 44.6 |
| 50.8 | 20.3 |
| 58.4 | 18.9 |
| 66.2 | 17.8 |


# 10
# Cs3Mn3V4O16
Calculated powder diffractogram, a wavelength of 1.5418 Å. Input: a crystal structure in Alexandria, relaxed with PBE+U.
Lines closer than 0.1° are merged.

Structural model:
```
Cs3Mn3V4O16
1.0
5.2967 0.0000 0.0000
1.0374 7.5602 0.0000
0.0089 2.5102 11.5147
Cs Mn V O
3 3 4 16
direct
0.0000 0.0000 0.0000
0.1267 0.2610 0.4800
0.8733 0.7390 0.5200
0.0110 0.4408 0.1314
0.5000 0.5000 0.0000
0.9890 0.5592 0.8686
0.4663 0.8667 0.7682
0.4755 0.3255 0.7651
0.5245 0.6745 0.2349
0.5337 0.1333 0.2318
0.1716 0.4516 0.7471
0.1956 0.3874 0.9928
0.2188 0.2389 0.2343
0.2988 0.7290 0.8703
0.3378 0.8993 0.6351
0.3403 0.6060 0.1289
0.3830 0.6421 0.3615
0.4550 0.0837 0.8138
0.5450 0.9163 0.1862
0.6170 0.3579 0.6385
0.6597 0.3940 0.8711
0.6622 0.1007 0.3649
0.7012 0.2710 0.1297
0.7812 0.7611 0.7657
0.8044 0.6126 0.0072
0.8284 0.5484 0.2529
```

Largest 10 diffraction maxima, sorted by position, 2θ from 10° to 90°:
| 2theta | intensity |
| --- | --- |
| 21.6 | 44.8 |
| 22.6 | 58.3 |
| 23.3 | 94.7 |
| 25.2 | 41.8 |
| 26.9 | 100.0 |
| 27.3 | 75.0 |
| 28.7 | 36.9 |
| 29.8 | 60.1 |
| 31.1 | 72.8 |
| 35.8 | 43.8 |


What did the sixth record say?
# Cs2MnTlO4
Calculated powder diffractogram, a wavelength of 1.5418 Å. Input: a crystal structure in Alexandria, relaxed with PBE+U.
Lines closer than 0.1° are merged.

Structural model:
```
Cs2MnTlO4
1.0
6.2646 0.0000 0.0000
0.0000 8.8022 0.0000
0.0000 0.0000 6.8001
Cs Mn Tl O
4 2 2 8
direct
0.2500 0.0093 0.2428
0.2500 0.4907 0.2428
0.7500 0.5093 0.7572
0.7500 0.9907 0.7572
0.2500 0.7500 0.6696
0.7500 0.2500 0.3304
0.2500 0.2500 0.7307
0.7500 0.7500 0.2693
0.0247 0.7500 0.5171
0.2500 0.5876 0.8075
0.2500 0.9124 0.8075
0.4753 0.7500 0.5171
0.5247 0.2500 0.4829
0.7500 0.0876 0.1925
0.7500 0.4124 0.1925
0.9753 0.2500 0.4829
```

Largest 10 diffraction maxima, sorted by position, 2θ from 10° to 90°:
| 2theta | intensity |
| --- | --- |
| 17.4 | 10.8 |
| 26.2 | 27.7 |
| 28.0 | 100.0 |
| 28.5 | 26.7 |
| 39.1 | 24.4 |
| 41.0 | 10.1 |
| 47.4 | 18.7 |
| 50.2 | 19.9 |
| 50.7 | 10.5 |
| 58.0 | 12.8 |